For Nd4Tc6O19, the GGA-PBE geometry in Alexandria gives the simulated powder diffractogram in this record (Cu Kα (λ = 1.5418 Å)).
No peak broadening, texture or thermal motion is included.

abc: 7.835 7.835 7.835
angles: 109.47 109.47 109.47
Element x y z (fractional)
1 Nd 0.000 0.000 0.688
2 Nd 0.000 0.688 0.000
3 Nd 0.312 0.312 0.312
4 Nd 0.688 0.000 0.000
5 Tc 0.133 0.633 0.500
6 Tc 0.367 0.500 0.867
7 Tc 0.500 0.133 0.633
8 Tc 0.500 0.867 0.367
9 Tc 0.633 0.500 0.133
10 Tc 0.867 0.367 0.500
11 O 0.000 0.000 0.000
12 O 0.000 0.321 0.321
13 O 0.000 0.679 0.679
14 O 0.058 0.355 0.730
15 O 0.270 0.624 0.328
16 O 0.296 0.942 0.672
17 O 0.321 0.000 0.321
18 O 0.321 0.321 0.000
19 O 0.328 0.270 0.624
20 O 0.355 0.730 0.058
21 O 0.376 0.645 0.704
22 O 0.624 0.328 0.270
23 O 0.645 0.704 0.376
24 O 0.672 0.296 0.942
25 O 0.679 0.000 0.679
26 O 0.679 0.679 0.000
27 O 0.704 0.376 0.645
28 O 0.730 0.058 0.355
29 O 0.942 0.672 0.296

The 8 most intense peaks (2θ from 10° to 90°), low angle first:
- d = 3.693 Å, 24.10 deg, I 90
- d = 2.861 Å, 31.27 deg, I 100
- d = 2.418 Å, 37.19 deg, I 39
- d = 2.132 Å, 42.39 deg, I 40
- d = 1.847 Å, 49.35 deg, I 19
- d = 1.774 Å, 51.51 deg, I 60
- d = 1.652 Å, 55.65 deg, I 31
- d = 1.508 Å, 61.50 deg, I 35

=====

For Nd5Tc2O12, the GGA-PBE geometry in Alexandria gives the simulated powder diffractogram in this record (Cu Kα (λ = 1.5418 Å)).
No peak broadening, texture or thermal motion is included.

abc: 7.071 7.071 7.834
angles: 106.26 106.26 48.40
Element x y z (fractional)
1 Nd 0.000 0.000 0.000
2 Nd 0.308 0.308 0.145
3 Nd 0.315 0.315 0.671
4 Nd 0.685 0.685 0.329
5 Nd 0.692 0.692 0.855
6 Tc 0.213 0.787 0.500
7 Tc 0.787 0.213 0.500
8 O 0.001 0.001 0.698
9 O 0.087 0.594 0.422
10 O 0.096 0.593 0.923
11 O 0.406 0.913 0.578
12 O 0.407 0.904 0.077
13 O 0.499 0.499 0.332
14 O 0.501 0.501 0.668
15 O 0.593 0.096 0.923
16 O 0.594 0.087 0.422
17 O 0.904 0.407 0.077
18 O 0.913 0.406 0.578
19 O 0.999 0.999 0.302

The 8 most intense peaks (2θ from 10° to 90°), low angle first:
- d = 3.343 Å, 26.67 deg, I 98
- d = 3.246 Å, 27.48 deg, I 100
- d = 2.835 Å, 31.56 deg, I 29
- d = 2.825 Å, 31.68 deg, I 29
- d = 2.025 Å, 44.76 deg, I 30
- d = 1.959 Å, 46.36 deg, I 22
- d = 1.692 Å, 54.21 deg, I 25
- d = 1.688 Å, 54.35 deg, I 24

=====

For Nd3TcO7, the GGA-PBE geometry in Alexandria gives the simulated powder diffractogram in this record (Cu Kα (λ = 1.5418 Å)).
No peak broadening, texture or thermal motion is included.

abc: 6.690 6.690 7.653
angles: 90.00 90.00 108.49
Element x y z (fractional)
1 Nd 0.039 0.498 0.259
2 Nd 0.040 0.040 0.000
3 Nd 0.498 0.039 0.741
4 Nd 0.502 0.961 0.241
5 Nd 0.960 0.960 0.500
6 Nd 0.961 0.502 0.759
7 Tc 0.499 0.499 0.500
8 Tc 0.501 0.501 0.000
9 O 0.130 0.870 0.750
10 O 0.137 0.863 0.250
11 O 0.180 0.421 0.978
12 O 0.205 0.456 0.540
13 O 0.421 0.180 0.022
14 O 0.437 0.563 0.250
15 O 0.456 0.205 0.460
16 O 0.544 0.795 0.960
17 O 0.563 0.437 0.750
18 O 0.579 0.820 0.522
19 O 0.795 0.544 0.040
20 O 0.820 0.579 0.478
21 O 0.863 0.137 0.750
22 O 0.870 0.130 0.250

The 8 most intense peaks (2θ from 10° to 90°), low angle first:
- d = 3.172 Å, 28.13 deg, I 100
- d = 3.128 Å, 28.54 deg, I 100
- d = 2.735 Å, 32.75 deg, I 45
- d = 2.714 Å, 33.00 deg, I 20
- d = 1.926 Å, 47.18 deg, I 54
- d = 1.913 Å, 47.52 deg, I 17
- d = 1.657 Å, 55.44 deg, I 20
- d = 1.638 Å, 56.16 deg, I 39

=====

For Nd2Te2O, the GGA-PBE geometry in Alexandria gives the simulated powder diffractogram in this record (Cu Kα (λ = 1.5418 Å)).
No peak broadening, texture or thermal motion is included.

abc: 6.997 6.997 11.713
angles: 121.74 121.74 34.26
Element x y z (fractional)
1 Nd 0.017 0.017 0.169
2 Nd 0.187 0.187 0.576
3 Nd 0.813 0.813 0.424
4 Nd 0.983 0.983 0.831
5 Te 0.336 0.336 0.911
6 Te 0.469 0.469 0.336
7 Te 0.531 0.531 0.664
8 Te 0.664 0.664 0.089
9 O 0.208 0.208 0.385
10 O 0.792 0.792 0.615

The 8 most intense peaks (2θ from 10° to 90°), low angle first:
- d = 2.998 Å, 29.80 deg, I 100
- d = 2.958 Å, 30.21 deg, I 46
- d = 2.765 Å, 32.37 deg, I 88
- d = 2.728 Å, 32.83 deg, I 45
- d = 2.413 Å, 37.27 deg, I 15
- d = 2.061 Å, 43.94 deg, I 24
- d = 1.691 Å, 54.25 deg, I 18
- d = 1.382 Å, 67.82 deg, I 15

=====

For Nd3Te3O, the GGA-PBE geometry in Alexandria gives the simulated powder diffractogram in this record (Cu Kα (λ = 1.5418 Å)).
No peak broadening, texture or thermal motion is included.

abc: 7.737 7.737 7.662
angles: 96.92 96.92 111.09
Element x y z (fractional)
1 Nd 0.094 0.094 0.328
2 Nd 0.159 0.448 0.790
3 Nd 0.448 0.159 0.790
4 Nd 0.552 0.841 0.210
5 Nd 0.841 0.552 0.210
6 Nd 0.906 0.906 0.672
7 Te 0.162 0.838 0.000
8 Te 0.248 0.752 0.500
9 Te 0.389 0.389 0.157
10 Te 0.611 0.611 0.843
11 Te 0.752 0.248 0.500
12 Te 0.838 0.162 0.000
13 O 0.172 0.172 0.637
14 O 0.828 0.828 0.363

The 8 most intense peaks (2θ from 10° to 90°), low angle first:
- d = 3.271 Å, 27.26 deg, I 100
- d = 3.228 Å, 27.63 deg, I 18
- d = 2.840 Å, 31.51 deg, I 50
- d = 2.806 Å, 31.90 deg, I 45
- d = 2.558 Å, 35.07 deg, I 37
- d = 2.551 Å, 35.18 deg, I 21
- d = 2.496 Å, 35.98 deg, I 30
- d = 2.249 Å, 40.09 deg, I 21

=====

For Nd3Te2O2, the GGA-PBE geometry in Alexandria gives the simulated powder diffractogram in this record (Cu Kα (λ = 1.5418 Å)).
No peak broadening, texture or thermal motion is included.

abc: 6.173 6.173 8.427
angles: 118.21 118.21 35.32
Element x y z (fractional)
1 Nd 0.000 0.000 0.000
2 Nd 0.333 0.333 0.236
3 Nd 0.667 0.667 0.764
4 Te 0.099 0.099 0.405
5 Te 0.901 0.901 0.595
6 O 0.345 0.345 0.961
7 O 0.655 0.655 0.039

The 8 most intense peaks (2θ from 10° to 90°), low angle first:
- d = 3.405 Å, 26.17 deg, I 52
- d = 2.977 Å, 30.01 deg, I 72
- d = 2.900 Å, 30.84 deg, I 84
- d = 2.808 Å, 31.86 deg, I 100
- d = 2.708 Å, 33.08 deg, I 60
- d = 2.559 Å, 35.07 deg, I 52
- d = 2.519 Å, 35.64 deg, I 49
- d = 2.343 Å, 38.42 deg, I 53